(1)
Starting from DFT lattice parameters and positions (PBE), the powder diffraction line list of BIr was computed for λ = 1.5418 Å (Cu Kα).

Largest 8 diffraction maxima, in order of rising 2θ, 2θ = 10–80°:
- d 2.719, 2θ 32.94, intensity 34
- d 2.642, 2θ 33.93, intensity 100
- d 1.895, 2θ 48.01, intensity 83
- d 1.525, 2θ 60.72, intensity 21
- d 1.360, 2θ 69.08, intensity 5
- d 1.330, 2θ 70.83, intensity 24
- d 1.321, 2θ 71.42, intensity 12
- d 1.209, 2θ 79.24, intensity 18

Cell and atoms:
Unit cell a=3.0504 b=3.0504 c=2.7195 alpha=90.00 beta=90.00 gamma=120.00
Space group P-6m2 (No. 187)
Unique sites:
B1 0.0000 0.0000 0.0000
Ir1 0.6667 0.3333 0.5000

***

(2)
Starting from DFT lattice parameters and positions (PBE), the powder diffraction line list of MgHg2Bi4O12 was computed for λ = 1.5418 Å (Cu Kα).

Largest 12 diffraction maxima, in order of rising 2θ, 2θ = 10–80°:
- d 3.793, 2θ 23.45, intensity 40
- d 3.621, 2θ 24.59, intensity 61
- d 3.574, 2θ 24.91, intensity 13
- d 2.946, 2θ 30.34, intensity 100
- d 2.625, 2θ 34.16, intensity 11
- d 2.613, 2θ 34.32, intensity 10
- d 2.382, 2θ 37.77, intensity 9
- d 1.983, 2θ 45.75, intensity 21
- d 1.932, 2θ 47.02, intensity 38
- d 1.810, 2θ 50.41, intensity 10
- d 1.781, 2θ 51.30, intensity 19
- d 1.599, 2θ 57.66, intensity 11

Cell and atoms:
Unit cell a=5.232 b=10.689 c=5.256 alpha=90.00 beta=92.66 gamma=90.00
Space group Pm (No. 6)
Unique sites:
Mg1 0.000 0.000 0.000
Hg1 0.365 0.000 0.623
Hg2 0.707 0.500 0.280
Bi1 0.208 0.340 0.778
Bi2 0.717 0.185 0.268
O1 0.017 0.182 0.971
O2 0.028 0.500 0.958
O3 0.390 0.500 0.596
O4 0.424 0.193 0.562
O5 0.517 0.332 0.064
O6 0.578 0.000 0.053
O7 0.921 0.331 0.470
O8 0.936 0.000 0.405

***

(3)
Starting from DFT lattice parameters and positions (PBE), the powder diffraction line list of La2EuO4 was computed for λ = 1.5418 Å (Cu Kα).

Largest 12 diffraction maxima, in order of rising 2θ, 2θ = 10–80°:
- d 3.644, 2θ 24.43, intensity 30
- d 3.108, 2θ 28.73, intensity 100
- d 2.975, 2θ 30.03, intensity 22
- d 2.577, 2θ 34.82, intensity 9
- d 2.104, 2θ 42.99, intensity 13
- d 1.984, 2θ 45.74, intensity 41
- d 1.822, 2θ 50.06, intensity 42
- d 1.572, 2θ 58.75, intensity 13
- d 1.554, 2θ 59.49, intensity 11
- d 1.377, 2θ 68.08, intensity 7
- d 1.342, 2θ 70.13, intensity 23
- d 1.288, 2θ 73.51, intensity 6

Cell and atoms:
Unit cell a=10.307 b=10.307 c=10.307 alpha=90.00 beta=90.00 gamma=90.00
Space group Fd-3m (No. 227, origin choice 2)
Unique sites:
La1 0.000 0.000 0.000
Eu1 0.125 0.125 0.625
O1 0.013 0.013 0.237

***

(4)
Starting from DFT lattice parameters and positions (PBE), the powder diffraction line list of SrRu2O6 was computed for λ = 1.5418 Å (Cu Kα).

Largest 12 diffraction maxima, in order of rising 2θ, 2θ = 10–80°:
- d 4.465, 2θ 19.89, intensity 26
- d 3.867, 2θ 23.00, intensity 43
- d 2.734, 2θ 32.76, intensity 100
- d 2.332, 2θ 38.61, intensity 16
- d 1.935, 2θ 46.96, intensity 25
- d 1.930, 2θ 47.08, intensity 12
- d 1.774, 2θ 51.51, intensity 7
- d 1.730, 2θ 52.92, intensity 10
- d 1.579, 2θ 58.47, intensity 41
- d 1.368, 2θ 68.59, intensity 7
- d 1.367, 2θ 68.69, intensity 14
- d 1.224, 2θ 78.11, intensity 11

Cell and atoms:
Unit cell a=5.471 b=7.721 c=5.474 alpha=90.00 beta=90.00 gamma=90.00
Space group Imm2 (No. 44)
Unique sites:
Sr1 0.000 0.000 0.000
Ru1 0.000 0.250 0.503
O1 0.000 0.000 0.454
O2 0.000 0.500 0.569
O3 0.248 0.277 0.253

***

Please write out number 3 again, unchanged.
Starting from DFT lattice parameters and positions (PBE), the powder diffraction line list of La2EuO4 was computed for λ = 1.5418 Å (Cu Kα).

Largest 12 diffraction maxima, in order of rising 2θ, 2θ = 10–80°:
- d 3.644, 2θ 24.43, intensity 30
- d 3.108, 2θ 28.73, intensity 100
- d 2.975, 2θ 30.03, intensity 22
- d 2.577, 2θ 34.82, intensity 9
- d 2.104, 2θ 42.99, intensity 13
- d 1.984, 2θ 45.74, intensity 41
- d 1.822, 2θ 50.06, intensity 42
- d 1.572, 2θ 58.75, intensity 13
- d 1.554, 2θ 59.49, intensity 11
- d 1.377, 2θ 68.08, intensity 7
- d 1.342, 2θ 70.13, intensity 23
- d 1.288, 2θ 73.51, intensity 6

Cell and atoms:
Unit cell a=10.307 b=10.307 c=10.307 alpha=90.00 beta=90.00 gamma=90.00
Space group Fd-3m (No. 227, origin choice 2)
Unique sites:
La1 0.000 0.000 0.000
Eu1 0.125 0.125 0.625
O1 0.013 0.013 0.237

***

Which formula does entry 4 have? SrRu2O6